Entry 1:
Computed X-ray diffraction stick pattern of Sm3Ni7B2 for λ = 1.5418 Å (Cu Kα), from DFT lattice parameters and positions (GGA-PBE).
Kinematic intensities with the Lorentz-polarization factor, no thermal factor.

Structural model:
```
data_Sm3Ni7B2
_cell_length_a 7.1935
_cell_length_b 5.2522
_cell_length_c 9.0771
_cell_angle_alpha 90.00
_cell_angle_beta 90.00
_cell_angle_gamma 90.00
_symmetry_space_group_name_H-M 'A m m 2'
_symmetry_Int_Tables_number 38
loop_
_symmetry_equiv_pos_as_xyz
'x,y,z'
'-x,-y,z'
'-x,y,z'
'x,-y,z'
'x,y+1/2,z+1/2'
'-x,-y+1/2,z+1/2'
'-x,y+1/2,z+1/2'
'x,-y+1/2,z+1/2'
loop_
_atom_site_label
_atom_site_type_symbol
_atom_site_fract_x
_atom_site_fract_y
_atom_site_fract_z
Sm1 Sm 0.0000 0.0000 0.0000
Sm2 Sm 0.0000 0.0000 0.3335
Sm3 Sm 0.5000 0.0000 0.0000
Ni1 Ni 0.0000 0.0000 0.6667
Ni2 Ni 0.3109 0.0000 0.5047
Ni3 Ni 0.3110 0.2429 0.7476
B1 B 0.5000 0.0000 0.3333
B2 B 0.5000 0.0000 0.6667
```

Top 6 peaks for 10° ≤ 2θ ≤ 90°, low angle first:
two_theta, d_spacing, intensity, index
31.73, 2.820, 43, 2 1 1
34.18, 2.623, 34, 0 2 0
36.46, 2.464, 22, 1 2 0
39.67, 2.272, 47, 0 2 2
42.66, 2.120, 100, 2 2 0
62.63, 1.483, 23, 4 2 0

Entry 2:
Computed X-ray diffraction stick pattern of FeMo3As4 for λ = 1.5418 Å (Cu Kα), from DFT lattice parameters and positions (GGA-PBE).
Kinematic intensities with the Lorentz-polarization factor, no thermal factor.

Structural model:
```
data_FeMo3As4
_cell_length_a 5.9981
_cell_length_b 3.3606
_cell_length_c 6.3908
_cell_angle_alpha 90.00
_cell_angle_beta 90.19
_cell_angle_gamma 90.00
_symmetry_space_group_name_H-M 'P 1 m 1'
_symmetry_Int_Tables_number 6
loop_
_symmetry_equiv_pos_as_xyz
'x,y,z'
'x,-y,z'
loop_
_atom_site_label
_atom_site_type_symbol
_atom_site_fract_x
_atom_site_fract_y
_atom_site_fract_z
Fe1 Fe 0.0000 0.0000 0.0000
Mo1 Mo 0.4815 0.5000 0.5034
Mo2 Mo 0.4982 0.0000 0.1315
Mo3 Mo 0.9749 0.5000 0.6231
As1 As 0.1794 0.0000 0.3860
As2 As 0.2844 0.5000 0.8878
As3 As 0.6808 0.0000 0.7573
As4 As 0.8029 0.5000 0.2364
```

Top 6 peaks for 10° ≤ 2θ ≤ 90°, low angle first:
two_theta, d_spacing, intensity, index
31.72, 2.821, 38, 1 0 -2
33.64, 2.664, 74, 1 1 1
41.81, 2.160, 67, 1 1 -2
42.82, 2.112, 100, 2 1 -1
50.74, 1.799, 32, 0 1 3
54.62, 1.680, 29, 0 2 0

Entry 3:
Computed X-ray diffraction stick pattern of Y2ScN3 for λ = 1.5418 Å (Cu Kα), from DFT lattice parameters and positions (GGA-PBE).
Kinematic intensities with the Lorentz-polarization factor, no thermal factor.

Structural model:
```
data_Y2ScN3
_cell_length_a 5.9380
_cell_length_b 10.6751
_cell_length_c 12.0124
_cell_angle_alpha 90.00
_cell_angle_beta 97.30
_cell_angle_gamma 90.00
_symmetry_space_group_name_H-M 'C 1 2/c 1'
_symmetry_Int_Tables_number 15
loop_
_symmetry_equiv_pos_as_xyz
'x,y,z'
'-x,-y,-z'
'-x,y,-z+1/2'
'x,-y,z+1/2'
'x+1/2,y+1/2,z'
'-x+1/2,-y+1/2,-z'
'-x+1/2,y+1/2,-z+1/2'
'x+1/2,-y+1/2,z+1/2'
loop_
_atom_site_label
_atom_site_type_symbol
_atom_site_fract_x
_atom_site_fract_y
_atom_site_fract_z
Y1 Y 0.2037 0.1204 0.4222
Y2 Y 0.2265 0.2041 0.8668
Sc1 Sc 0.2206 0.4983 0.3371
N1 N 0.0000 0.0269 0.7500
N2 N 0.0000 0.3682 0.7500
N3 N 0.1178 0.3264 0.3962
N4 N 0.1688 0.1092 0.0292
```

Top 6 peaks for 10° ≤ 2θ ≤ 90°, low angle first:
two_theta, d_spacing, intensity, index
26.76, 3.331, 59, 1 1 -3
29.81, 2.997, 54, 1 3 -1
30.00, 2.979, 47, 0 0 4
30.35, 2.945, 95, 2 0 0
32.13, 2.786, 100, 2 0 -2
33.93, 2.642, 91, 1 3 2

Entry 4:
Computed X-ray diffraction stick pattern of Ac3La for λ = 1.5418 Å (Cu Kα), from DFT lattice parameters and positions (GGA-PBE).
Kinematic intensities with the Lorentz-polarization factor, no thermal factor.

Structural model:
```
data_Ac3La
_cell_length_a 7.9162
_cell_length_b 7.9162
_cell_length_c 6.3922
_cell_angle_alpha 90.00
_cell_angle_beta 90.00
_cell_angle_gamma 120.00
_symmetry_space_group_name_H-M 'P 63/m m c'
_symmetry_Int_Tables_number 194
_symmetry_space_group_name_Hall '-P 6c 2c'
loop_
_atom_site_label
_atom_site_type_symbol
_atom_site_fract_x
_atom_site_fract_y
_atom_site_fract_z
Ac1 Ac 0.1680 0.3359 0.2500
La1 La 0.3333 0.6667 0.7500
```

Top 6 peaks for 10° ≤ 2θ ≤ 90°, low angle first:
two_theta, d_spacing, intensity, index
25.99, 3.428, 23, 2 0 0
27.92, 3.196, 26, 0 0 2
29.57, 3.021, 100, 2 0 1
45.85, 1.979, 20, 2 2 0
50.43, 1.810, 23, 2 0 3
54.54, 1.683, 25, 2 2 2